Diffraction record for CuAgPtF6. The powder diffractogram is simulated, not measured: it uses a GGA-PBE-relaxed structure and λ = 1.5418 Å (Cu Kα).
Peak positions follow from Bragg's law for the DFT cell and can differ from measured ones.

Crystal structure
Cell: 5.0584 5.0584 10.1568 Å, 90.00 90.00 90.00°
Element x y z (fractional)
1 Cu 0.0000 0.0000 0.0000
2 Cu 0.5000 0.5000 0.5000
3 Ag 0.0000 0.0000 0.3247
4 Ag 0.5000 0.5000 0.8247
5 Pt 0.0000 0.0000 0.6580
6 Pt 0.5000 0.5000 0.1580
7 F 0.1748 0.1748 0.8156
8 F 0.2044 0.2044 0.5172
9 F 0.2154 0.2154 0.1432
10 F 0.2846 0.7154 0.6432
11 F 0.2956 0.7044 0.0172
12 F 0.3252 0.6748 0.3156
13 F 0.6748 0.3252 0.3156
14 F 0.7044 0.2956 0.0172
15 F 0.7154 0.2846 0.6432
16 F 0.7846 0.7846 0.1432
17 F 0.7956 0.7956 0.5172
18 F 0.8252 0.8252 0.8156

Principal peaks in the range 10° ≤ 2θ ≤ 80°, in order of falling intensity:
(hkl)  Position (°2θ)  d (Å)  I/Imax
1 1 0  24.89  3.577  100.0
1 0 3  31.81  2.814  80.6
2 1 3  48.39  1.881  68.8
1 0 1  19.61  4.528  27.9
3 0 3  61.42  1.510  24.7
2 0 0  35.49  2.529  21.0
2 2 0  51.07  1.788  18.0
1 1 6  60.51  1.530  15.9